1.
Diffraction record for Eu2CuGe2O8. The powder XRD pattern is computed, not measured: it uses DFT lattice parameters and positions (PBE) and Cu Kα (weighted mean of Kα1 and Kα2).
Lines closer than 0.1° are merged.

Structure:
```
Eu2CuGe2O8
1.0
5.003 -7.613 0.000
5.003 7.613 0.000
-2.434 0.000 4.638
Eu Cu Ge O
4 2 4 16
direct
0.120 0.880 0.000 Eu
0.367 0.610 0.434 Eu
0.610 0.367 0.434 Eu
0.880 0.120 0.000 Eu
0.489 0.901 0.123 Cu
0.901 0.489 0.123 Cu
0.043 0.469 0.693 Ge
0.234 0.234 0.764 Ge
0.469 0.043 0.693 Ge
0.712 0.712 0.094 Ge
0.056 0.419 0.016 O
0.070 0.070 0.807 O
0.140 0.327 0.549 O
0.198 0.668 0.712 O
0.327 0.140 0.549 O
0.348 0.858 0.342 O
0.389 0.389 0.111 O
0.419 0.056 0.016 O
0.568 0.568 0.733 O
0.575 0.913 0.843 O
0.595 0.785 0.277 O
0.668 0.198 0.712 O
0.785 0.595 0.277 O
0.858 0.348 0.342 O
0.893 0.893 0.116 O
0.913 0.575 0.843 O
```

Main lines, most intense first (2θ from 10° to 90°):
30.99 deg, intensity 100.0
26.16 deg, intensity 84.3
27.87 deg, intensity 75.7
34.07 deg, intensity 68.7
40.73 deg, intensity 35.7
34.32 deg, intensity 30.7
47.95 deg, intensity 30.5
24.45 deg, intensity 29.2
45.82 deg, intensity 28.2
17.94 deg, intensity 23.0

2.
Diffraction record for KUAsO6. The powder XRD pattern is computed, not measured: it uses DFT lattice parameters and positions (PBE) and Cu Kα (weighted mean of Kα1 and Kα2).
Lines closer than 0.1° are merged.

Structure:
```
KUAsO6
1.0
5.371 0.000 0.000
-2.685 4.651 0.000
0.000 0.000 11.900
K U As O
2 2 2 12
direct
0.000 0.000 0.000 K
0.000 0.000 0.500 K
0.333 0.667 0.250 U
0.667 0.333 0.750 U
0.333 0.667 0.750 As
0.667 0.333 0.250 As
0.033 0.394 0.661 O
0.033 0.639 0.839 O
0.361 0.394 0.839 O
0.361 0.967 0.661 O
0.394 0.033 0.161 O
0.394 0.361 0.339 O
0.606 0.639 0.661 O
0.606 0.967 0.839 O
0.639 0.033 0.339 O
0.639 0.606 0.161 O
0.967 0.361 0.161 O
0.967 0.606 0.339 O
```

Main lines, most intense first (2θ from 10° to 90°):
14.89 deg, intensity 100.0
24.29 deg, intensity 82.4
45.50 deg, intensity 53.7
36.72 deg, intensity 45.7
33.37 deg, intensity 40.9
20.50 deg, intensity 40.1
19.08 deg, intensity 28.1
57.78 deg, intensity 21.5
29.60 deg, intensity 20.9
54.42 deg, intensity 16.7

3.
Diffraction record for Sm3Co3Ru. The powder XRD pattern is computed, not measured: it uses DFT lattice parameters and positions (PBE) and Cu Kα (weighted mean of Kα1 and Kα2).
Lines closer than 0.1° are merged.

Structure:
```
Sm3Co3Ru
1.0
2.098 -5.174 0.000
2.098 5.174 0.000
0.000 0.000 12.702
Sm Co Ru
6 6 2
direct
0.020 0.980 0.750 Sm
0.272 0.728 0.104 Sm
0.272 0.728 0.396 Sm
0.728 0.272 0.604 Sm
0.728 0.272 0.896 Sm
0.980 0.020 0.250 Sm
0.328 0.672 0.750 Co
0.436 0.564 0.588 Co
0.436 0.564 0.912 Co
0.564 0.436 0.088 Co
0.564 0.436 0.412 Co
0.672 0.328 0.250 Co
0.000 0.000 0.000 Ru
0.000 0.000 0.500 Ru
```

Main lines, most intense first (2θ from 10° to 90°):
31.23 deg, intensity 100.0
36.53 deg, intensity 84.5
33.10 deg, intensity 81.3
33.63 deg, intensity 67.2
34.39 deg, intensity 66.2
43.11 deg, intensity 62.8
39.98 deg, intensity 58.5
34.67 deg, intensity 45.1
40.88 deg, intensity 42.7
55.41 deg, intensity 42.4